The following is a calculated X-ray powder pattern of Ag2Sb. It was derived from the GGA-PBE geometry in Alexandria, using Cu Kα (weighted mean of Kα1 and Kα2).
Lines closer than 0.1° are merged.

Crystal structure
Cell lengths 4.298, 13.470, 4.330 Å; angles 90.00, 90.00, 90.00 degrees
Space group Cmcm (No. 63)
Inequivalent atoms, fractional coordinates:
Ag1 0.000 0.087 0.250 (multiplicity 4)
Ag2 0.000 0.252 0.750 (multiplicity 4)
Sb1 0.000 0.405 0.250 (multiplicity 4)

Peak list (10 most intense, 5 to 70 degrees two-theta, by angle)
Position (°2θ), intensity, hkl
26.47, 8, 0 4 0
35.58, 1000, 1 3 1
40.17, 167, 0 6 0
41.72, 162, 0 0 2
42.04, 158, 2 0 0
44.89, 11, 1 5 1
56.55, 9, 1 7 1
59.30, 101, 0 6 2
59.55, 100, 2 6 0
60.72, 102, 2 0 2